For CeI4O12, the GGA-PBE geometry in the Materials Project gives the computed X-ray diffraction stick pattern in this record (Cu Kα (λ = 1.5418 Å)).

Largest 12 diffraction maxima, in order of rising 2θ, 2θ from 5° to 70°:
| 2theta | I/Imax |
| --- | --- |
| 17.30 | 11.1 |
| 24.56 | 26.3 |
| 25.48 | 100.0 |
| 27.52 | 9.6 |
| 33.17 | 12.5 |
| 35.01 | 17.5 |
| 35.69 | 22.5 |
| 43.62 | 9.6 |
| 49.00 | 14.9 |
| 50.36 | 9.5 |
| 50.86 | 27.2 |
| 54.77 | 10.0 |

Cell and atoms:
Cell lengths 10.2506, 10.2506, 5.4018 Å; angles 90.00, 90.00, 90.00 degrees
Fractional positions:
Ce1 0.2500 0.2500 0.2500
Ce2 0.7500 0.7500 0.7500
I1 0.0209 0.7470 0.2138
I2 0.2470 0.9791 0.7138
I3 0.2530 0.5209 0.7138
I4 0.4791 0.7530 0.2138
I5 0.5209 0.2470 0.7862
I6 0.7470 0.4791 0.2862
I7 0.7530 0.0209 0.2862
I8 0.9791 0.2530 0.7862
O1 0.0580 0.3271 0.0591
O2 0.0988 0.3218 0.5625
O3 0.1300 0.8487 0.7512
O4 0.1513 0.6300 0.2512
O5 0.1729 0.0580 0.4409
O6 0.1782 0.0988 0.9375
O7 0.3218 0.4012 0.9375
O8 0.3271 0.4420 0.4409
O9 0.3487 0.8700 0.2512
O10 0.3700 0.6513 0.7512
O11 0.4012 0.1782 0.5625
O12 0.4420 0.1729 0.0591
O13 0.5580 0.8271 0.9409
O14 0.5988 0.8218 0.4375
O15 0.6300 0.3487 0.2488
O16 0.6513 0.1300 0.7488
O17 0.6729 0.5580 0.5591
O18 0.6782 0.5988 0.0625
O19 0.8218 0.9012 0.0625
O20 0.8271 0.9420 0.5591
O21 0.8487 0.3700 0.7488
O22 0.8700 0.1513 0.2488
O23 0.9012 0.6782 0.4375
O24 0.9420 0.6729 0.9409